Entry 1:
Structure and calculated PXRD pattern of LaSn2Sb2 (the PBE geometry in Alexandria; Cu Kα (λ = 1.5418 Å)).
Kinematic intensities with the Lorentz-polarization factor, no thermal factor.

Most intense lines, 5° ≤ 2θ ≤ 70°, sorted by position:
| 2θ (°) | Rel. int. |
| --- | --- |
| 31.6 | 21 |
| 32.1 | 100 |
| 39.5 | 15 |
| 40.0 | 14 |
| 51.4 | 11 |
| 56.5 | 12 |
| 67.0 | 22 |
| 67.7 | 12 |

Atomic structure:
a b c (Å): 14.3433 14.3433 4.5644
angles (deg): 90.00 90.00 161.92
Sites, in units of the cell vectors:
La 0.1598 0.8402 0.7500
La 0.8402 0.1598 0.2500
Sn 0.0522 0.9478 0.2500
Sn 0.4531 0.5469 0.2500
Sn 0.5469 0.4531 0.7500
Sn 0.9478 0.0522 0.7500
Sb 0.2498 0.7502 0.2500
Sb 0.3636 0.6364 0.7500
Sb 0.6364 0.3636 0.2500
Sb 0.7502 0.2498 0.7500

Entry 2:
Structure and calculated PXRD pattern of LaTb3Sb3 (the PBE geometry in Alexandria; Cu Kα (λ = 1.5418 Å)).
Kinematic intensities with the Lorentz-polarization factor, no thermal factor.

Most intense lines, 5° ≤ 2θ ≤ 70°, sorted by position:
| 2θ (°) | Rel. int. |
| --- | --- |
| 30.2 | 100 |
| 35.9 | 67 |
| 43.2 | 10 |
| 47.6 | 18 |
| 49.7 | 24 |
| 61.0 | 25 |
| 62.8 | 12 |
| 64.5 | 14 |

Atomic structure:
a b c (Å): 9.3603 9.3603 9.3603
angles (deg): 90.00 90.00 90.00
Sites, in units of the cell vectors:
La 0.0692 0.4308 0.5692
La 0.4308 0.5692 0.0692
La 0.5692 0.0692 0.4308
La 0.9308 0.9308 0.9308
Tb 0.0768 0.5768 0.9232
Tb 0.1797 0.8203 0.3203
Tb 0.1809 0.1809 0.1809
Tb 0.3191 0.8191 0.6809
Tb 0.3203 0.1797 0.8203
Tb 0.4232 0.4232 0.4232
Tb 0.5768 0.9232 0.0768
Tb 0.6797 0.6797 0.6797
Tb 0.6809 0.3191 0.8191
Tb 0.8191 0.6809 0.3191
Tb 0.8203 0.3203 0.1797
Tb 0.9232 0.0768 0.5768
Sb 0.0014 0.2585 0.8810
Sb 0.1190 0.5014 0.2415
Sb 0.2415 0.1190 0.5014
Sb 0.2585 0.8810 0.0014
Sb 0.3810 0.4986 0.7415
Sb 0.4986 0.7415 0.3810
Sb 0.5014 0.2415 0.1190
Sb 0.6190 0.9986 0.7585
Sb 0.7415 0.3810 0.4986
Sb 0.7585 0.6190 0.9986
Sb 0.8810 0.0014 0.2585
Sb 0.9986 0.7585 0.6190

Entry 3:
Structure and calculated PXRD pattern of La2SbTe5 (the PBE geometry in Alexandria; Cu Kα (λ = 1.5418 Å)).
Kinematic intensities with the Lorentz-polarization factor, no thermal factor.

Most intense lines, 5° ≤ 2θ ≤ 70°, sorted by position:
| 2θ (°) | Rel. int. |
| --- | --- |
| 11.3 | 50 |
| 15.3 | 77 |
| 21.4 | 55 |
| 28.6 | 82 |
| 29.2 | 100 |
| 36.6 | 33 |
| 37.0 | 60 |
| 41.4 | 77 |

Atomic structure:
a b c (Å): 8.4098 8.4098 14.7375
angles (deg): 90.00 90.00 136.49
Sites, in units of the cell vectors:
La 0.1633 0.8367 0.5730
La 0.1633 0.8367 0.9270
La 0.8367 0.1633 0.0730
La 0.8367 0.1633 0.4270
Sb 0.1642 0.8358 0.2500
Sb 0.8358 0.1642 0.7500
Te 0.0402 0.9598 0.1003
Te 0.0402 0.9598 0.3997
Te 0.2889 0.7111 0.7500
Te 0.2977 0.7023 0.0959
Te 0.2977 0.7023 0.4041
Te 0.7023 0.2977 0.5959
Te 0.7023 0.2977 0.9041
Te 0.7111 0.2889 0.2500
Te 0.9598 0.0402 0.6003
Te 0.9598 0.0402 0.8997

Entry 4:
Structure and calculated PXRD pattern of La4SbTe5 (the PBE geometry in Alexandria; Cu Kα (λ = 1.5418 Å)).
Kinematic intensities with the Lorentz-polarization factor, no thermal factor.

Most intense lines, 5° ≤ 2θ ≤ 70°, sorted by position:
| 2θ (°) | Rel. int. |
| --- | --- |
| 20.3 | 32 |
| 20.9 | 54 |
| 22.6 | 19 |
| 27.9 | 42 |
| 33.4 | 100 |
| 34.2 | 19 |
| 35.8 | 30 |
| 46.0 | 20 |

Atomic structure:
a b c (Å): 10.0382 10.4868 7.9587
angles (deg): 90.00 90.00 90.00
Sites, in units of the cell vectors:
La 0.0137 0.2500 0.0651
La 0.2500 0.5201 0.4850
La 0.2500 0.9799 0.4850
La 0.4863 0.2500 0.0651
La 0.5137 0.7500 0.9349
La 0.7500 0.0201 0.5150
La 0.7500 0.4799 0.5150
La 0.9863 0.7500 0.9349
Sb 0.2500 0.7500 0.7422
Sb 0.7500 0.2500 0.2578
Te 0.0133 0.0491 0.7551
Te 0.0133 0.4509 0.7551
Te 0.2500 0.2500 0.3227
Te 0.4867 0.0491 0.7551
Te 0.4867 0.4509 0.7551
Te 0.5133 0.5491 0.2449
Te 0.5133 0.9509 0.2449
Te 0.7500 0.7500 0.6773
Te 0.9867 0.5491 0.2449
Te 0.9867 0.9509 0.2449

Entry 5:
Structure and calculated PXRD pattern of La2Sb2Te (the PBE geometry in Alexandria; Cu Kα (λ = 1.5418 Å)).
Kinematic intensities with the Lorentz-polarization factor, no thermal factor.

Most intense lines, 5° ≤ 2θ ≤ 70°, sorted by position:
| 2θ (°) | Rel. int. |
| --- | --- |
| 24.5 | 29 |
| 30.5 | 100 |
| 33.0 | 39 |
| 35.6 | 13 |
| 37.8 | 12 |
| 39.7 | 20 |
| 52.6 | 21 |
| 66.9 | 17 |

Atomic structure:
a b c (Å): 8.5786 8.5786 4.5367
angles (deg): 90.00 90.00 90.00
Sites, in units of the cell vectors:
La 0.1774 0.3226 0.0000
La 0.3226 0.8226 0.0000
La 0.6774 0.1774 0.0000
La 0.8226 0.6774 0.0000
Sb 0.1175 0.6175 0.5000
Sb 0.3825 0.1175 0.5000
Sb 0.6175 0.8825 0.5000
Sb 0.8825 0.3825 0.5000
Te 0.0000 0.0000 0.0000
Te 0.5000 0.5000 0.0000

Entry 6:
Structure and calculated PXRD pattern of LaSb2Te (the PBE geometry in Alexandria; Cu Kα (λ = 1.5418 Å)).
Kinematic intensities with the Lorentz-polarization factor, no thermal factor.

Most intense lines, 5° ≤ 2θ ≤ 70°, sorted by position:
| 2θ (°) | Rel. int. |
| --- | --- |
| 32.0 | 100 |
| 33.2 | 23 |
| 35.8 | 18 |
| 42.0 | 12 |
| 49.6 | 14 |
| 58.5 | 18 |
| 62.0 | 15 |
| 67.0 | 12 |

Atomic structure:
a b c (Å): 4.3040 5.0133 5.4036
angles (deg): 90.00 90.00 90.00
Sites, in units of the cell vectors:
La 0.0000 0.0000 0.0000
Sb 0.0000 0.5000 0.5000
Sb 0.5000 0.0000 0.5000
Te 0.5000 0.5000 0.0000

Entry 7:
Structure and calculated PXRD pattern of LaSbTe (the PBE geometry in Alexandria; Cu Kα (λ = 1.5418 Å)).
Kinematic intensities with the Lorentz-polarization factor, no thermal factor.

Most intense lines, 5° ≤ 2θ ≤ 70°, sorted by position:
| 2θ (°) | Rel. int. |
| --- | --- |
| 27.8 | 46 |
| 28.5 | 21 |
| 30.0 | 100 |
| 34.2 | 88 |
| 34.5 | 52 |
| 40.8 | 60 |
| 50.1 | 36 |
| 54.5 | 28 |

Atomic structure:
a b c (Å): 4.4251 4.4251 9.6238
angles (deg): 90.00 90.00 90.00
Sites, in units of the cell vectors:
La 0.2500 0.2500 0.2228
La 0.7500 0.7500 0.7772
Sb 0.2500 0.7500 0.5000
Sb 0.7500 0.2500 0.5000
Te 0.2500 0.2500 0.8714
Te 0.7500 0.7500 0.1286

Entry 8:
Structure and calculated PXRD pattern of LaYSbTe (the PBE geometry in Alexandria; Cu Kα (λ = 1.5418 Å)).
Kinematic intensities with the Lorentz-polarization factor, no thermal factor.

Most intense lines, 5° ≤ 2θ ≤ 70°, sorted by position:
| 2θ (°) | Rel. int. |
| --- | --- |
| 23.2 | 2 |
| 28.1 | 100 |
| 30.7 | 3 |
| 40.1 | 75 |
| 49.7 | 27 |
| 55.5 | 2 |
| 58.0 | 12 |
| 65.7 | 33 |

Atomic structure:
a b c (Å): 7.7904 7.7904 7.7904
angles (deg): 33.51 33.51 33.51
Sites, in units of the cell vectors:
La 0.0000 0.0000 0.0000
Y 0.4935 0.4935 0.4935
Sb 0.7515 0.7515 0.7515
Te 0.2420 0.2420 0.2420

Entry 9:
Structure and calculated PXRD pattern of La2TiSb4 (the PBE geometry in Alexandria; Cu Kα (λ = 1.5418 Å)).
Kinematic intensities with the Lorentz-polarization factor, no thermal factor.

Most intense lines, 5° ≤ 2θ ≤ 70°, sorted by position:
| 2θ (°) | Rel. int. |
| --- | --- |
| 11.2 | 15 |
| 23.8 | 26 |
| 26.4 | 46 |
| 33.0 | 100 |
| 33.9 | 81 |
| 48.0 | 23 |
| 48.8 | 45 |
| 60.1 | 29 |

Atomic structure:
a b c (Å): 8.7633 8.7633 8.7633
angles (deg): 144.93 144.93 50.44
Sites, in units of the cell vectors:
La 0.1275 0.1275 0.0000
La 0.8725 0.8725 0.0000
Ti 0.5000 0.5000 0.0000
Sb 0.0000 0.5000 0.5000
Sb 0.3259 0.3259 0.0000
Sb 0.5000 0.0000 0.5000
Sb 0.6741 0.6741 0.0000

Entry 10:
Structure and calculated PXRD pattern of La2Tl2Sb (the PBE geometry in Alexandria; Cu Kα (λ = 1.5418 Å)).
Kinematic intensities with the Lorentz-polarization factor, no thermal factor.

Most intense lines, 5° ≤ 2θ ≤ 70°, sorted by position:
| 2θ (°) | Rel. int. |
| --- | --- |
| 23.5 | 13 |
| 30.0 | 100 |
| 34.0 | 33 |
| 36.5 | 18 |
| 48.6 | 10 |
| 50.7 | 21 |
| 61.7 | 13 |
| 62.9 | 18 |

Atomic structure:
a b c (Å): 8.3426 8.3426 4.9250
angles (deg): 90.00 90.00 90.00
Sites, in units of the cell vectors:
La 0.1584 0.3416 0.0000
La 0.3416 0.8416 0.0000
La 0.6584 0.1584 0.0000
La 0.8416 0.6584 0.0000
Tl 0.1447 0.6447 0.5000
Tl 0.3553 0.1447 0.5000
Tl 0.6447 0.8553 0.5000
Tl 0.8553 0.3553 0.5000
Sb 0.0000 0.0000 0.0000
Sb 0.5000 0.5000 0.0000

Entry 11:
Structure and calculated PXRD pattern of La3TmSb3 (the PBE geometry in Alexandria; Cu Kα (λ = 1.5418 Å)).
Kinematic intensities with the Lorentz-polarization factor, no thermal factor.

Most intense lines, 5° ≤ 2θ ≤ 70°, sorted by position:
| 2θ (°) | Rel. int. |
| --- | --- |
| 29.6 | 100 |
| 35.1 | 67 |
| 42.3 | 10 |
| 46.6 | 17 |
| 48.6 | 23 |
| 59.6 | 25 |
| 61.3 | 12 |
| 63.0 | 14 |

Atomic structure:
a b c (Å): 9.5577 9.5577 9.5577
angles (deg): 90.00 90.00 90.00
Sites, in units of the cell vectors:
La 0.0656 0.4344 0.5656
La 0.1752 0.8248 0.3248
La 0.1781 0.1781 0.1781
La 0.3219 0.8219 0.6781
La 0.3248 0.1752 0.8248
La 0.4344 0.5656 0.0656
La 0.5656 0.0656 0.4344
La 0.6752 0.6752 0.6752
La 0.6781 0.3219 0.8219
La 0.8219 0.6781 0.3219
La 0.8248 0.3248 0.1752
La 0.9344 0.9344 0.9344
Tm 0.0721 0.5721 0.9279
Tm 0.4279 0.4279 0.4279
Tm 0.5721 0.9279 0.0721
Tm 0.9279 0.0721 0.5721
Sb 0.0032 0.2596 0.8683
Sb 0.1317 0.5032 0.2404
Sb 0.2404 0.1317 0.5032
Sb 0.2596 0.8683 0.0032
Sb 0.3683 0.4968 0.7404
Sb 0.4968 0.7404 0.3683
Sb 0.5032 0.2404 0.1317
Sb 0.6317 0.9968 0.7596
Sb 0.7404 0.3683 0.4968
Sb 0.7596 0.6317 0.9968
Sb 0.8683 0.0032 0.2596
Sb 0.9968 0.7596 0.6317

Entry 12:
Structure and calculated PXRD pattern of La3TmSb4 (the PBE geometry in Alexandria; Cu Kα (λ = 1.5418 Å)).
Kinematic intensities with the Lorentz-polarization factor, no thermal factor.

Most intense lines, 5° ≤ 2θ ≤ 70°, sorted by position:
| 2θ (°) | Rel. int. |
| --- | --- |
| 27.7 | 100 |
| 39.5 | 64 |
| 39.6 | 13 |
| 48.9 | 14 |
| 49.0 | 14 |
| 57.2 | 13 |
| 64.6 | 18 |
| 64.7 | 17 |

Atomic structure:
a b c (Å): 7.8866 7.8866 4.5651
angles (deg): 90.00 90.00 109.50
Sites, in units of the cell vectors:
La 0.0000 0.0000 0.0000
La 0.0000 0.5000 0.5000
La 0.5000 0.0000 0.5000
Tm 0.5000 0.5000 0.0000
Sb 0.2557 0.7443 0.0000
Sb 0.2610 0.2610 0.5000
Sb 0.7390 0.7390 0.5000
Sb 0.7443 0.2557 0.0000